Entry 1:
Structure and simulated PXRD pattern of Tl2Cu2SeS3 (a cell relaxed with PBE; Cu Kα X-rays).
Kinematic intensities with the Lorentz-polarization factor, no thermal factor.

Structure:
Cell lengths 12.857, 5.733, 5.731 Å; angles 90.00, 116.39, 90.00 degrees
Space group C2 (No. 5)
One atom of each set of equivalent atoms:
Tl 0.126 0.000 0.371
Cu 0.132 0.518 0.896
Se 0.000 0.309 0.500
S 0.000 0.708 0.000
S 0.250 0.258 0.204

Largest 8 diffraction maxima, in order of rising 2θ, 2θ = 15–90°:
2θ/deg, I (rel.), index
17.28, 21, 0 0 1
26.90, 100, 3 1 -1
31.21, 15, 0 2 0
35.89, 16, 1 1 -2
44.61, 39, 6 0 -2
44.72, 18, 2 2 -2
52.77, 15, 5 1 1
52.96, 29, 1 3 1

***

Entry 2:
Structure and simulated PXRD pattern of Ba2CuBi2Pd (a cell relaxed with PBE; Cu Kα X-rays).
Kinematic intensities with the Lorentz-polarization factor, no thermal factor.

Structure:
Cell lengths 4.7500, 4.7500, 9.8631 Å; angles 90.00, 90.00, 120.00 degrees
Space group P-6m2 (No. 187)
One atom of each set of equivalent atoms:
Ba 0.0000 0.0000 0.2478
Cu 0.6667 0.3333 0.5000
Bi 0.3333 0.6667 0.5000
Bi 0.6667 0.3333 0.0000
Pd 0.3333 0.6667 0.0000

Largest 8 diffraction maxima, in order of rising 2θ, 2θ = 15–90°:
2θ/deg, I (rel.), index
17.99, 16, 0 0 2
23.43, 20, 1 0 1
28.25, 100, 1 0 2
36.44, 20, 0 0 4
37.88, 54, 1 1 0
47.92, 23, 2 0 2
53.57, 39, 1 1 4
62.65, 21, 2 1 2

***

Entry 3:
Structure and simulated PXRD pattern of TmScCdC (a cell relaxed with PBE; Cu Kα X-rays).
Kinematic intensities with the Lorentz-polarization factor, no thermal factor.

Structure:
Cell lengths 3.4151, 3.4151, 15.9462 Å; angles 90.00, 90.00, 120.00 degrees
Space group P-3m1 (No. 164)
One atom of each set of equivalent atoms:
Tm 0.3333 0.6667 0.0846
Sc 0.3333 0.6667 0.4245
Cd 0.3333 0.6667 0.7396
C 0.0000 0.0000 0.0000
C 0.0000 0.0000 0.5000

Largest 8 diffraction maxima, in order of rising 2θ, 2θ = 15–90°:
2θ/deg, I (rel.), index
30.22, 21, 1 0 0
32.28, 18, 0 1 2
33.72, 21, 0 0 6
34.71, 100, 1 0 3
45.91, 16, 0 1 6
53.68, 20, 1 1 0
60.96, 17, 1 0 9
64.91, 19, 1 1 6

***

Entry 4:
Structure and simulated PXRD pattern of TaAgW (a cell relaxed with PBE; Cu Kα X-rays).
Kinematic intensities with the Lorentz-polarization factor, no thermal factor.

Structure:
Cell lengths 4.8961, 4.8961, 2.6636 Å; angles 90.00, 90.00, 120.00 degrees
Space group P-6m2 (No. 187)
One atom of each set of equivalent atoms:
Ta 0.0000 0.0000 0.0000
Ag 0.6667 0.3333 0.0000
W 0.3333 0.6667 0.0000

Largest 8 diffraction maxima, in order of rising 2θ, 2θ = 15–90°:
2θ/deg, I (rel.), index
33.65, 42, 0 0 1
36.71, 100, 1 1 0
50.64, 80, 1 1 1
66.11, 18, 3 0 0
76.26, 24, 3 0 1
78.07, 11, 2 2 0
82.44, 20, 1 1 2
87.76, 17, 2 2 1

***

Entry 5:
Structure and simulated PXRD pattern of NiGe3 (a cell relaxed with PBE; Cu Kα X-rays).
Kinematic intensities with the Lorentz-polarization factor, no thermal factor.

Structure:
Cell lengths 6.6083, 6.6083, 3.6318 Å; angles 90.00, 90.00, 120.00 degrees
Space group P6_3/mmc (No. 194)
One atom of each set of equivalent atoms:
Ni 0.3333 0.6667 0.2500
Ge 0.1850 0.3700 0.7500

Largest 8 diffraction maxima, in order of rising 2θ, 2θ = 15–90°:
2θ/deg, I (rel.), index
31.26, 34, 2 0 0
40.12, 100, 2 0 1
50.24, 12, 0 0 2
55.63, 21, 2 2 0
60.37, 10, 2 0 2
70.78, 14, 4 0 1
78.23, 15, 2 2 2
87.49, 10, 2 0 3

***

Entry 6:
Structure and simulated PXRD pattern of SmYC2Cl2 (a cell relaxed with PBE; Cu Kα X-rays).
Kinematic intensities with the Lorentz-polarization factor, no thermal factor.

Structure:
Cell lengths 7.029, 3.793, 10.764 Å; angles 90.00, 95.18, 90.00 degrees
Space group Cm (No. 8)
One atom of each set of equivalent atoms:
Sm 0.000 0.000 0.000
Y 0.209 0.500 0.720
C 0.282 0.000 0.892
C 0.427 0.000 0.820
Cl 0.035 0.000 0.563
Cl 0.178 0.500 0.163

Largest 8 diffraction maxima, in order of rising 2θ, 2θ = 15–90°:
2θ/deg, I (rel.), index
26.73, 49, 1 1 0
27.67, 36, 1 1 -1
29.19, 71, 2 0 -2
30.97, 33, 1 1 -2
32.22, 100, 1 1 2
37.68, 47, 1 1 3
42.35, 35, 1 1 -4
45.65, 35, 3 1 0

***

Entry 7:
Structure and simulated PXRD pattern of La2ThSe5 (a cell relaxed with PBE; Cu Kα X-rays).
Kinematic intensities with the Lorentz-polarization factor, no thermal factor.

Structure:
Cell lengths 12.643, 8.696, 7.979 Å; angles 90.00, 90.00, 90.00 degrees
Space group Pnma (No. 62)
One atom of each set of equivalent atoms:
La 0.177 0.000 0.026
Th 0.009 0.250 0.576
Se 0.001 0.250 0.958
Se 0.097 0.544 0.666
Se 0.188 0.250 0.334
Se 0.217 0.750 0.305

Largest 8 diffraction maxima, in order of rising 2θ, 2θ = 15–90°:
2θ/deg, I (rel.), index
23.88, 52, 3 0 1
24.35, 43, 1 2 1
24.85, 41, 2 2 0
31.24, 35, 1 2 2
33.62, 100, 2 2 2
35.10, 56, 4 2 0
41.54, 42, 0 4 0
42.90, 58, 5 2 1

***

Entry 8:
Structure and simulated PXRD pattern of Cu5Ag4 (a cell relaxed with PBE; Cu Kα X-rays).
Kinematic intensities with the Lorentz-polarization factor, no thermal factor.

Structure:
Cell lengths 3.908, 11.790, 11.378 Å; angles 90.00, 90.00, 90.00 degrees
Space group Fmm2 (No. 42)
One atom of each set of equivalent atoms:
Cu 0.000 0.000 0.000
Cu 0.000 0.171 0.504
Cu 0.000 0.172 0.152
Ag 0.000 0.000 0.336
Ag 0.000 0.000 0.653
Ag 0.000 0.168 0.832

Largest 8 diffraction maxima, in order of rising 2θ, 2θ = 15–90°:
2θ/deg, I (rel.), index
40.31, 100, 1 3 3
46.20, 17, 0 6 0
46.48, 17, 2 0 0
47.97, 14, 0 0 6
67.62, 10, 2 6 0
81.55, 11, 1 9 3
81.96, 11, 3 3 3
87.12, 9, 2 6 6

***

Entry 9:
Structure and simulated PXRD pattern of Tb2Pd2O5 (a cell relaxed with PBE; Cu Kα X-rays).
Kinematic intensities with the Lorentz-polarization factor, no thermal factor.

Structure:
Cell lengths 3.796, 3.796, 9.036 Å; angles 90.00, 90.00, 90.00 degrees
Space group P4/mmm (No. 123)
One atom of each set of equivalent atoms:
Tb 0.000 0.000 0.244
Pd 0.500 0.500 0.000
Pd 0.500 0.500 0.500
O 0.000 0.000 0.000
O 0.000 0.500 0.364

Largest 8 diffraction maxima, in order of rising 2θ, 2θ = 15–90°:
2θ/deg, I (rel.), index
30.76, 100, 1 0 2
33.38, 35, 1 1 0
39.91, 11, 0 0 4
47.93, 20, 2 0 0
52.98, 29, 1 1 4
58.04, 33, 2 1 2
64.08, 11, 2 0 4
86.36, 11, 2 1 6

***

Entry 10:
Structure and simulated PXRD pattern of Ho2TmIn3Ir2 (a cell relaxed with PBE; Cu Kα X-rays).
Kinematic intensities with the Lorentz-polarization factor, no thermal factor.

Structure:
Cell lengths 3.634, 13.145, 7.600 Å; angles 90.00, 90.00, 90.00 degrees
Space group Amm2 (No. 38)
One atom of each set of equivalent atoms:
Ho 0.000 0.211 0.000
Tm 0.000 0.000 0.367
In 0.500 0.000 0.025
In 0.500 0.117 0.671
Ir 0.500 0.166 0.289

Largest 8 diffraction maxima, in order of rising 2θ, 2θ = 15–90°:
2θ/deg, I (rel.), index
34.15, 100, 1 3 1
36.13, 67, 0 1 3
36.86, 71, 1 4 0
41.18, 19, 0 6 0
56.44, 20, 1 5 3
63.41, 26, 2 1 3
67.18, 18, 1 1 5
70.55, 22, 1 9 1

***

Entry 11:
Structure and simulated PXRD pattern of Rb4Pb2Au7 (a cell relaxed with PBE; Cu Kα X-rays).
Kinematic intensities with the Lorentz-polarization factor, no thermal factor.

Structure:
Cell lengths 6.9679, 6.9679, 30.1589 Å; angles 90.00, 90.00, 120.00 degrees
Space group R-3m (No. 166, hexagonal axes)
One atom of each set of equivalent atoms:
Rb 0.0000 0.0000 0.1839
Rb 0.0000 0.0000 0.3131
Pb 0.0000 0.0000 0.0503
Au 0.0000 0.0000 0.5000
Au 0.0644 0.5322 0.2412

Largest 8 diffraction maxima, in order of rising 2θ, 2θ = 15–90°:
2θ/deg, I (rel.), index
15.82, 100, 0 1 2
17.64, 31, 0 0 6
25.57, 31, 1 1 0
27.91, 50, 0 1 8
31.24, 25, 1 1 6
31.95, 60, 0 2 4
37.23, 26, 1 1 9
42.37, 36, 0 2 10

***

Entry 12:
Structure and simulated PXRD pattern of Y2AlInPt4 (a cell relaxed with PBE; Cu Kα X-rays).
Kinematic intensities with the Lorentz-polarization factor, no thermal factor.

Structure:
Cell lengths 4.4798, 4.4798, 9.1481 Å; angles 90.00, 90.00, 120.00 degrees
Space group P-3m1 (No. 164)
One atom of each set of equivalent atoms:
Y 0.3333 0.6667 0.2464
Al 0.0000 0.0000 0.0000
In 0.0000 0.0000 0.5000
Pt 0.3333 0.6667 0.5961
Pt 0.3333 0.6667 0.9200

Largest 8 diffraction maxima, in order of rising 2θ, 2θ = 15–90°:
2θ/deg, I (rel.), index
19.41, 12, 0 0 2
22.92, 28, 1 0 0
24.93, 19, 0 1 1
37.51, 100, 0 1 3
40.26, 72, 1 1 0
56.20, 31, 2 0 3
71.37, 31, 1 2 3
73.19, 12, 3 0 0

***

Entry 13:
Structure and simulated PXRD pattern of Li2Nb2Al2IrOs (a cell relaxed with PBE; Cu Kα X-rays).
Kinematic intensities with the Lorentz-polarization factor, no thermal factor.

Structure:
Cell lengths 4.363, 4.363, 6.168 Å; angles 90.00, 90.00, 90.00 degrees
Space group P-4m2 (No. 115)
One atom of each set of equivalent atoms:
Li 0.000 0.000 0.000
Li 0.500 0.500 0.500
Nb 0.000 0.500 0.248
Al 0.000 0.500 0.753
Ir 0.000 0.000 0.500
Os 0.500 0.500 0.000

Largest 8 diffraction maxima, in order of rising 2θ, 2θ = 15–90°:
2θ/deg, I (rel.), index
25.00, 96, 1 0 1
41.40, 100, 2 0 0
48.97, 48, 2 1 1
59.98, 17, 2 2 0
66.01, 20, 3 0 1
75.50, 34, 3 1 2
80.98, 15, 3 2 1
89.97, 11, 4 0 0